# 1
For NdDyNi4O12, a crystal structure in Alexandria, relaxed with GGA+U gives the theoretical XRD peak list in this record (λ = 1.5418 Å (Cu Kα)).

Crystal structure
Unit cell a=7.301 b=7.273 c=7.930 alpha=90.00 beta=90.00 gamma=90.00
Space group Amm2 (No. 38)
Asymmetric unit:
Nd (0.000, 0.000, 0.000) (multiplicity 2)
Dy (0.500, 0.000, 0.515) (multiplicity 2)
Ni (0.251, 0.245, 0.259) (multiplicity 8)
O (0.000, 0.182, 0.748) (multiplicity 4)
O (0.168, 0.000, 0.257) (multiplicity 4)
O (0.260, 0.247, 0.509) (multiplicity 8)
O (0.317, 0.000, 0.748) (multiplicity 4)
O (0.500, 0.173, 0.276) (multiplicity 4)

Principal peaks in the range 2θ = 10–90°, in order of rising 2θ:
hkl  2theta  d [Å]  I/Imax
1 1 1  20.6  4.321  100.0
2 0 2  33.4  2.683  70.0
2 2 0  34.8  2.576  42.9
1 1 3  38.3  2.352  19.1
3 1 1  40.7  2.216  18.3
1 3 1  40.8  2.210  18.2
0 0 4  45.8  1.982  17.6
4 0 0  50.0  1.825  11.0
3 1 3  52.7  1.737  17.1
2 2 4  58.8  1.571  18.2
4 2 2  61.5  1.509  16.3
2 4 2  61.6  1.506  15.9

***

# 2
For Li2VO3F, a crystal structure in Alexandria, relaxed with GGA+U gives the theoretical XRD peak list in this record (λ = 1.5418 Å (Cu Kα)).

Crystal structure
Unit cell a=5.061 b=5.258 c=5.784 alpha=91.72 beta=91.42 gamma=112.61
Space group P1 (No. 1)
Asymmetric unit:
Li (0.000, 0.000, 0.000) (multiplicity 1)
Li (0.044, 0.518, 0.226) (multiplicity 1)
Li (0.525, 0.482, 0.996) (multiplicity 1)
Li (0.583, 0.461, 0.499) (multiplicity 1)
V (0.031, 0.056, 0.496) (multiplicity 1)
V (0.463, 0.922, 0.756) (multiplicity 1)
O (0.226, 0.779, 0.515) (multiplicity 1)
O (0.230, 0.243, 0.275) (multiplicity 1)
O (0.276, 0.747, 0.978) (multiplicity 1)
O (0.281, 0.208, 0.740) (multiplicity 1)
O (0.729, 0.775, 0.731) (multiplicity 1)
O (0.780, 0.203, 0.516) (multiplicity 1)
F (0.738, 0.229, 0.983) (multiplicity 1)
F (0.791, 0.734, 0.256) (multiplicity 1)

Principal peaks in the range 2θ = 10–90°, in order of rising 2θ:
hkl  2theta  d [Å]  I/Imax
0 0 1  15.3  5.777  72.4
0 1 0  18.3  4.850  100.0
1 0 -1  24.0  3.703  58.1
0 1 1  24.5  3.639  51.6
1 0 1  25.0  3.563  24.1
1 -1 1  25.9  3.445  58.4
1 1 -1  34.3  2.613  13.9
1 0 2  37.2  2.414  14.3
2 -2 0  42.1  2.145  52.3
1 1 -2  43.4  2.083  49.6
1 1 2  45.8  1.983  45.3
3 -1 2  64.9  1.437  14.2